Entry 1:
Diffraction record for Cs2TmCuCl6. The PXRD pattern is calculated, not measured: it uses a crystal structure in the Materials Project, relaxed with GGA-PBE and Cu Kα, 1.54184 Å.

Structure:
Cell lengths 7.398, 7.398, 7.398 Å; angles 60.00, 60.00, 60.00 degrees
Element x y z (fractional)
Cs  0.250  0.250  0.250
Cs  0.750  0.750  0.750
Tm  0.000  0.000  0.000
Cu  0.500  0.500  0.500
Cl  0.250  0.250  0.750
Cl  0.250  0.750  0.250
Cl  0.250  0.750  0.750
Cl  0.750  0.250  0.250
Cl  0.750  0.250  0.750
Cl  0.750  0.750  0.250

Principal peaks in the range 2θ from 10° to 90°, by intensity:
two_theta, d/Å, intensity
24.1, 3.699, 100
34.3, 2.616, 57
42.3, 2.136, 46
49.3, 1.850, 39
66.9, 1.398, 24
55.6, 1.654, 21
82.5, 1.170, 17
29.6, 3.020, 13
61.4, 1.510, 13
77.4, 1.233, 12

---

Entry 2:
Diffraction record for Cs2YCuCl6. The PXRD pattern is calculated, not measured: it uses a crystal structure in the Materials Project, relaxed with GGA-PBE and Cu Kα, 1.54184 Å.

Structure:
Cell lengths 7.455, 7.455, 7.455 Å; angles 60.00, 60.00, 60.00 degrees
Element x y z (fractional)
Cs  0.250  0.250  0.250
Cs  0.750  0.750  0.750
Y  0.000  0.000  0.000
Cu  0.500  0.500  0.500
Cl  0.252  0.252  0.748
Cl  0.252  0.748  0.252
Cl  0.252  0.748  0.748
Cl  0.748  0.252  0.252
Cl  0.748  0.252  0.748
Cl  0.748  0.748  0.252

Principal peaks in the range 2θ from 10° to 90°, by intensity:
two_theta, d/Å, intensity
23.9, 3.727, 100
34.0, 2.636, 67
42.0, 2.152, 45
48.9, 1.864, 45
29.3, 3.043, 34
66.3, 1.409, 23
55.1, 1.667, 20
81.7, 1.179, 19
60.9, 1.522, 15
58.0, 1.589, 12

---

Entry 3:
Diffraction record for Cs2DyCl5. The PXRD pattern is calculated, not measured: it uses a crystal structure in the Materials Project, relaxed with GGA-PBE and Cu Kα, 1.54184 Å.

Structure:
Cell lengths 9.730, 7.578, 15.486 Å; angles 90.00, 90.00, 90.00 degrees
Element x y z (fractional)
Cs  0.025  0.250  0.212
Cs  0.166  0.750  0.416
Cs  0.334  0.250  0.916
Cs  0.475  0.750  0.712
Cs  0.525  0.250  0.288
Cs  0.666  0.750  0.084
Cs  0.834  0.250  0.584
Cs  0.975  0.750  0.788
Dy  0.179  0.750  0.066
Dy  0.321  0.250  0.566
Dy  0.679  0.750  0.434
Dy  0.821  0.250  0.934
Cl  0.000  0.000  0.000
Cl  0.000  0.500  0.000
Cl  0.018  0.750  0.200
Cl  0.166  0.503  0.619
Cl  0.166  0.997  0.619
Cl  0.212  0.250  0.409
Cl  0.288  0.750  0.909
Cl  0.334  0.003  0.119
Cl  0.334  0.497  0.119
Cl  0.482  0.250  0.700
Cl  0.500  0.000  0.500
Cl  0.500  0.500  0.500
Cl  0.518  0.750  0.300
Cl  0.666  0.503  0.881
Cl  0.666  0.997  0.881
Cl  0.712  0.250  0.091
Cl  0.788  0.750  0.591
Cl  0.834  0.003  0.381
Cl  0.834  0.497  0.381
Cl  0.982  0.250  0.800

Principal peaks in the range 2θ from 10° to 90°, by intensity:
two_theta, d/Å, intensity
20.8, 4.266, 100
32.1, 2.789, 57
23.5, 3.789, 54
34.7, 2.586, 48
21.6, 4.119, 44
30.5, 2.934, 36
24.6, 3.619, 35
47.8, 1.903, 34
21.7, 4.094, 33
22.5, 3.958, 32

---

Entry 4:
Diffraction record for Cs3DyCl6. The PXRD pattern is calculated, not measured: it uses a crystal structure in the Materials Project, relaxed with GGA-PBE and Cu Kα, 1.54184 Å.

Structure:
Cell lengths 8.392, 8.392, 8.392 Å; angles 60.00, 60.00, 60.00 degrees
Element x y z (fractional)
Cs  0.000  0.000  0.000
Cs  0.250  0.250  0.250
Cs  0.750  0.750  0.750
Dy  0.500  0.500  0.500
Cl  0.278  0.278  0.722
Cl  0.278  0.722  0.278
Cl  0.278  0.722  0.722
Cl  0.722  0.278  0.278
Cl  0.722  0.278  0.722
Cl  0.722  0.722  0.278

Principal peaks in the range 2θ from 10° to 90°, by intensity:
two_theta, d/Å, intensity
21.2, 4.196, 100
30.1, 2.967, 51
37.1, 2.423, 45
43.1, 2.098, 35
58.2, 1.586, 28
48.5, 1.877, 25
83.0, 1.164, 15
71.0, 1.327, 14
66.9, 1.399, 12
53.5, 1.713, 11

---

Entry 5:
Diffraction record for Cs2KDyCl6. The PXRD pattern is calculated, not measured: it uses a crystal structure in the Materials Project, relaxed with GGA-PBE and Cu Kα, 1.54184 Å.

Structure:
Cell lengths 8.022, 8.022, 8.022 Å; angles 60.00, 60.00, 60.00 degrees
Element x y z (fractional)
Cs  0.250  0.250  0.250
Cs  0.750  0.750  0.750
K  0.000  0.000  0.000
Dy  0.500  0.500  0.500
Cl  0.267  0.267  0.733
Cl  0.267  0.733  0.267
Cl  0.267  0.733  0.733
Cl  0.733  0.267  0.267
Cl  0.733  0.267  0.733
Cl  0.733  0.733  0.267

Principal peaks in the range 2θ from 10° to 90°, by intensity:
two_theta, d/Å, intensity
22.2, 4.011, 100
31.5, 2.836, 61
38.9, 2.316, 46
45.2, 2.006, 42
13.5, 6.550, 27
61.1, 1.516, 26
50.9, 1.794, 23
27.2, 3.275, 20
74.9, 1.268, 17
87.7, 1.113, 15

---

Entry 6:
Diffraction record for Cs2NaDyCl6. The PXRD pattern is calculated, not measured: it uses a crystal structure in the Materials Project, relaxed with GGA-PBE and Cu Kα, 1.54184 Å.

Structure:
Cell lengths 7.718, 7.718, 7.718 Å; angles 60.00, 60.00, 60.00 degrees
Element x y z (fractional)
Cs  0.250  0.250  0.250
Cs  0.750  0.750  0.750
Na  0.000  0.000  0.000
Dy  0.500  0.500  0.500
Cl  0.258  0.258  0.742
Cl  0.258  0.742  0.258
Cl  0.258  0.742  0.742
Cl  0.742  0.258  0.258
Cl  0.742  0.258  0.742
Cl  0.742  0.742  0.258

Principal peaks in the range 2θ from 10° to 90°, by intensity:
two_theta, d/Å, intensity
23.0, 3.859, 100
32.8, 2.729, 65
40.5, 2.228, 46
47.1, 1.929, 44
14.1, 6.302, 32
28.3, 3.151, 26
63.8, 1.459, 25
53.1, 1.726, 22
78.4, 1.220, 19
27.1, 3.291, 17

---

Entry 7:
Diffraction record for Cs2RbErCl6. The PXRD pattern is calculated, not measured: it uses a crystal structure in the Materials Project, relaxed with GGA-PBE and Cu Kα, 1.54184 Å.

Structure:
Cell lengths 8.152, 8.152, 8.152 Å; angles 60.00, 60.00, 60.00 degrees
Element x y z (fractional)
Cs  0.250  0.250  0.250
Cs  0.750  0.750  0.750
Rb  0.000  0.000  0.000
Er  0.500  0.500  0.500
Cl  0.273  0.273  0.727
Cl  0.273  0.727  0.273
Cl  0.273  0.727  0.727
Cl  0.727  0.273  0.273
Cl  0.727  0.273  0.727
Cl  0.727  0.727  0.273

Principal peaks in the range 2θ from 10° to 90°, by intensity:
two_theta, d/Å, intensity
21.8, 4.076, 100
31.0, 2.882, 55
38.2, 2.353, 45
44.5, 2.038, 37
60.1, 1.541, 27
50.0, 1.823, 24
86.0, 1.130, 15
73.5, 1.289, 15
13.3, 6.656, 13
55.2, 1.664, 12

---

Entry 8:
Diffraction record for CsErTa6Cl18. The PXRD pattern is calculated, not measured: it uses a crystal structure in the Materials Project, relaxed with GGA-PBE and Cu Kα, 1.54184 Å.

Structure:
Cell lengths 9.408, 9.408, 17.477 Å; angles 90.00, 90.00, 120.00 degrees
Element x y z (fractional)
Cs  0.333  0.667  0.250
Cs  0.667  0.333  0.750
Er  0.333  0.667  0.750
Er  0.667  0.333  0.250
Ta  0.041  0.194  0.567
Ta  0.041  0.847  0.933
Ta  0.153  0.194  0.933
Ta  0.153  0.959  0.567
Ta  0.194  0.041  0.067
Ta  0.194  0.153  0.433
Ta  0.806  0.847  0.567
Ta  0.806  0.959  0.933
Ta  0.847  0.041  0.433
Ta  0.847  0.806  0.067
Ta  0.959  0.153  0.067
Ta  0.959  0.806  0.433
Cl  0.048  0.233  0.340
Cl  0.048  0.815  0.160
Cl  0.092  0.448  0.662
Cl  0.092  0.644  0.838
Cl  0.138  0.415  0.001
Cl  0.138  0.723  0.499
Cl  0.185  0.233  0.160
Cl  0.185  0.952  0.340
Cl  0.233  0.048  0.840
Cl  0.233  0.185  0.660
Cl  0.277  0.415  0.499
Cl  0.277  0.862  0.001
Cl  0.356  0.448  0.838
Cl  0.356  0.908  0.662
Cl  0.415  0.138  0.501
Cl  0.415  0.277  0.999
Cl  0.448  0.092  0.162
Cl  0.448  0.356  0.338
Cl  0.552  0.644  0.662
Cl  0.552  0.908  0.838
Cl  0.585  0.723  0.001
Cl  0.585  0.862  0.499
Cl  0.644  0.092  0.338
Cl  0.644  0.552  0.162
Cl  0.723  0.138  0.999
Cl  0.723  0.585  0.501
Cl  0.767  0.815  0.340
Cl  0.767  0.952  0.160
Cl  0.815  0.048  0.660
Cl  0.815  0.767  0.840
Cl  0.862  0.277  0.501
Cl  0.862  0.585  0.999
Cl  0.908  0.356  0.162
Cl  0.908  0.552  0.338
Cl  0.952  0.185  0.840
Cl  0.952  0.767  0.660

Principal peaks in the range 2θ from 10° to 90°, by intensity:
two_theta, d/Å, intensity
10.9, 8.148, 100
14.9, 5.959, 98
35.7, 2.517, 41
10.1, 8.739, 25
42.9, 2.109, 24
29.0, 3.079, 19
42.7, 2.116, 18
21.5, 4.142, 18
43.7, 2.071, 17
39.7, 2.271, 17

---

Entry 9:
Diffraction record for Cs2ICl6F. The PXRD pattern is calculated, not measured: it uses a crystal structure in the Materials Project, relaxed with GGA-PBE and Cu Kα, 1.54184 Å.

Structure:
Cell lengths 7.546, 7.546, 7.546 Å; angles 60.00, 60.00, 60.00 degrees
Element x y z (fractional)
Cs  0.250  0.250  0.250
Cs  0.750  0.750  0.750
I  0.000  0.000  0.000
Cl  0.240  0.240  0.760
Cl  0.240  0.760  0.240
Cl  0.240  0.760  0.760
Cl  0.760  0.240  0.240
Cl  0.760  0.240  0.760
Cl  0.760  0.760  0.240
F  0.500  0.500  0.500

Principal peaks in the range 2θ from 10° to 90°, by intensity:
two_theta, d/Å, intensity
23.6, 3.773, 100
33.6, 2.668, 70
48.2, 1.886, 46
41.5, 2.178, 45
29.0, 3.081, 40
14.4, 6.161, 27
65.4, 1.426, 24
54.4, 1.687, 21
80.5, 1.193, 20
60.1, 1.540, 15